1.
The following is a calculated powder X-ray diffraction pattern of LaMnSiBi. It was derived from a structure optimized by DFT (PBE), using λ = 1.5418 Å (Cu Kα).
Peak positions follow from Bragg's law for the DFT cell and can differ from measured ones.

Most intense lines, 5 to 70 degrees two-theta, in order of rising 2θ:
16.54 deg, I 30.2, (2 0 0)
22.80 deg, I 62.8, (0 0 1)
29.02 deg, I 82.4, (1 1 -1)
31.89 deg, I 100.0, (3 1 0)
32.96 deg, I 61.2, (2 0 1)
33.59 deg, I 57.0, (3 1 -1)
39.75 deg, I 32.8, (0 2 0)
43.21 deg, I 25.9, (2 0 -2)
44.86 deg, I 20.5, (3 1 1)
52.56 deg, I 33.5, (2 2 1)
54.70 deg, I 43.6, (1 1 2)
59.88 deg, I 23.1, (5 1 1)

Atomic structure:
```
data_LaMnSiBi
_symmetry_space_group_name_H-M 'C 1 m 1'
_symmetry_Int_Tables_number 8
_cell_length_a 11.504
_cell_length_b 4.536
_cell_length_c 4.187
_cell_angle_alpha 90.00
_cell_angle_beta 111.31
_cell_angle_gamma 90.00
loop_
_symmetry_equiv_pos_as_xyz
'x,y,z'
'x,-y,z'
'x+1/2,y+1/2,z'
'x+1/2,-y+1/2,z'
loop_
_atom_site_label
_atom_site_type_symbol
_atom_site_fract_x
_atom_site_fract_y
_atom_site_fract_z
La1 La 0.000 0.000 0.000
Mn1 Mn 0.218 0.500 0.218
Si1 Si 0.115 0.500 0.616
Bi1 Bi 0.348 0.000 0.346
```


2.
The following is a calculated powder X-ray diffraction pattern of Na5As2F12. It was derived from a structure optimized by DFT (PBE), using λ = 1.5418 Å (Cu Kα).
Peak positions follow from Bragg's law for the DFT cell and can differ from measured ones.

Most intense lines, 5 to 70 degrees two-theta, in order of rising 2θ:
12.69 deg, I 100.0, (0 0 1)
14.87 deg, I 63.8, (2 0 0)
15.92 deg, I 98.4, (2 0 -1)
22.70 deg, I 58.5, (2 0 1)
24.77 deg, I 43.0, (2 0 -2)
25.53 deg, I 48.2, (0 0 2)
27.72 deg, I 30.0, (0 2 0)
30.55 deg, I 42.3, (0 2 1)
37.47 deg, I 57.9, (2 2 -2)
38.00 deg, I 76.5, (0 2 2)
45.69 deg, I 34.9, (6 0 0)
49.50 deg, I 32.8, (4 2 -3)

Atomic structure:
```
data_Na5As2F12
_symmetry_space_group_name_H-M 'C 1 2/m 1'
_symmetry_Int_Tables_number 12
_cell_length_a 12.680
_cell_length_b 6.447
_cell_length_c 7.427
_cell_angle_alpha 90.00
_cell_angle_beta 110.01
_cell_angle_gamma 90.00
loop_
_symmetry_equiv_pos_as_xyz
'x,y,z'
'-x,-y,-z'
'-x,y,-z'
'x,-y,z'
'x+1/2,y+1/2,z'
'-x+1/2,-y+1/2,-z'
'-x+1/2,y+1/2,-z'
'x+1/2,-y+1/2,z'
loop_
_atom_site_label
_atom_site_type_symbol
_atom_site_fract_x
_atom_site_fract_y
_atom_site_fract_z
Na1 Na 0.000 0.000 0.000
Na2 Na 0.184 0.500 0.286
Na3 Na 0.221 0.500 0.903
As1 As 0.000 0.249 0.500
F1 F 0.007 0.500 0.685
F2 F 0.009 0.000 0.683
F3 F 0.146 0.251 0.061
F4 F 0.160 0.261 0.572
```


3.
The following is a calculated powder X-ray diffraction pattern of K2Be2Si6O15. It was derived from a structure optimized by DFT (PBE), using λ = 1.5418 Å (Cu Kα).
Peak positions follow from Bragg's law for the DFT cell and can differ from measured ones.

Most intense lines, 5 to 70 degrees two-theta, in order of rising 2θ:
19.09 deg, I 30.7, (0 2 2)
20.14 deg, I 34.1, (1 1 2)
22.05 deg, I 33.4, (1 3 1)
23.98 deg, I 100.0, (0 4 1)
25.81 deg, I 18.7, (1 3 2)
27.24 deg, I 29.4, (2 2 1)
28.15 deg, I 54.7, (2 0 2)
30.42 deg, I 75.4, (2 2 2)
31.17 deg, I 20.1, (1 3 3)
33.06 deg, I 15.8, (0 2 4)
33.71 deg, I 19.9, (1 1 4)
47.99 deg, I 18.7, (4 0 0)

Atomic structure:
```
data_K2Be2Si6O15
_symmetry_space_group_name_H-M 'C m c 21'
_symmetry_Int_Tables_number 36
_cell_length_a 7.583
_cell_length_b 15.675
_cell_length_c 11.550
_cell_angle_alpha 90.00
_cell_angle_beta 90.00
_cell_angle_gamma 90.00
loop_
_symmetry_equiv_pos_as_xyz
'x,y,z'
'-x,-y,z+1/2'
'-x,y,z'
'x,-y,z+1/2'
'x+1/2,y+1/2,z'
'-x+1/2,-y+1/2,z+1/2'
'-x+1/2,y+1/2,z'
'x+1/2,-y+1/2,z+1/2'
loop_
_atom_site_label
_atom_site_type_symbol
_atom_site_fract_x
_atom_site_fract_y
_atom_site_fract_z
K1 K 0.000 0.098 0.000
K2 K 0.000 0.239 0.725
Be1 Be 0.152 0.381 0.358
Si1 Si 0.000 0.352 0.119
Si2 Si 0.000 0.453 0.583
Si3 Si 0.205 0.054 0.275
Si4 Si 0.209 0.210 0.452
O1 O 0.000 0.071 0.232
O2 O 0.000 0.203 0.492
O3 O 0.000 0.357 0.258
O4 O 0.000 0.403 0.461
O5 O 0.000 0.446 0.059
O6 O 0.177 0.426 0.657
O7 O 0.179 0.302 0.074
O8 O 0.227 0.039 0.827
O9 O 0.236 0.201 0.894
O10 O 0.242 0.370 0.866
```


4.
The following is a calculated powder X-ray diffraction pattern of LaMg6Ag. It was derived from a structure optimized by DFT (PBE), using λ = 1.5418 Å (Cu Kα).
Peak positions follow from Bragg's law for the DFT cell and can differ from measured ones.

Most intense lines, 5 to 70 degrees two-theta, in order of rising 2θ:
19.65 deg, I 27.3, (0 0 6)
21.61 deg, I 94.4, (0 1 2)
24.45 deg, I 69.3, (1 0 4)
33.63 deg, I 100.0, (0 1 8)
36.05 deg, I 97.4, (1 1 0)
39.25 deg, I 24.2, (1 0 10)
41.38 deg, I 24.5, (1 1 6)
42.42 deg, I 16.1, (2 0 2)
50.12 deg, I 31.4, (2 0 8)
54.86 deg, I 23.1, (1 1 12)
63.27 deg, I 30.4, (1 2 8)
64.81 deg, I 16.6, (3 0 0)

Atomic structure:
```
data_LaMg6Ag
_symmetry_space_group_name_H-M 'R -3 m'
_symmetry_Int_Tables_number 166
_symmetry_space_group_name_Hall '-R 3 2"'
_cell_length_a 4.9835
_cell_length_b 4.9835
_cell_length_c 27.1039
_cell_angle_alpha 90.00
_cell_angle_beta 90.00
_cell_angle_gamma 120.00
loop_
_atom_site_label
_atom_site_type_symbol
_atom_site_fract_x
_atom_site_fract_y
_atom_site_fract_z
La1 La 0.0000 0.0000 0.0000
Mg1 Mg 0.0000 0.0000 0.1322
Mg2 Mg 0.0000 0.0000 0.2533
Mg3 Mg 0.0000 0.0000 0.3968
Ag1 Ag 0.0000 0.0000 0.5000
```